(1)
AsPd3: theoretical powder XRD pattern (Cu Ka), based on a GGA-PBE-relaxed structure.
Lines closer than 0.1° are merged.

Principal peaks in the range 2θ = 10–80°, sorted by position:
d_spacing  two_theta  I (rel.)
2.437  36.89  100
2.385  37.73  27
2.324  38.75  55
2.262  39.85  40
2.195  41.12  100
2.025  44.75  26
1.984  45.73  23
1.949  46.61  38
1.871  48.67  18
1.236  77.15  18

Atomic structure:
```
data_AsPd3
_cell_length_a 10.1168
_cell_length_b 10.1168
_cell_length_c 4.9142
_cell_angle_alpha 90.00
_cell_angle_beta 90.00
_cell_angle_gamma 90.00
_space_group_name_H-M_alt 'I -4'
_space_group_IT_number 82
_space_group_name_Hall 'I -4'
loop_
_atom_site_label
_atom_site_fract_x
_atom_site_fract_y
_atom_site_fract_z
As1 0.0444 0.2831 0.0201
Pd1 0.0316 0.3645 0.5228
Pd2 0.0768 0.8880 0.7392
Pd3 0.1726 0.7799 0.2548
```

(2)
As3Pd5: theoretical powder XRD pattern (Cu Ka), based on a GGA-PBE-relaxed structure.
Lines closer than 0.1° are merged.

Principal peaks in the range 2θ = 10–80°, sorted by position:
d_spacing  two_theta  I (rel.)
2.792  32.06  74
2.549  35.20  29
2.416  37.21  57
2.364  38.06  51
2.294  39.27  44
2.278  39.57  38
2.236  40.34  100
2.219  40.65  79
2.074  43.64  41
1.875  48.54  46

Atomic structure:
```
data_As3Pd5
_cell_length_a 11.1396
_cell_length_b 7.5017
_cell_length_c 6.3330
_cell_angle_alpha 90.00
_cell_angle_beta 90.00
_cell_angle_gamma 90.00
_space_group_name_H-M_alt 'P n m a'
_space_group_IT_number 62
_space_group_name_Hall '-P 2ac 2n'
loop_
_atom_site_label
_atom_site_fract_x
_atom_site_fract_y
_atom_site_fract_z
As1 0.0080 0.2500 0.1126
As2 0.1622 0.0203 0.5136
Pd1 0.0165 0.7500 0.4721
Pd2 0.1184 0.5458 0.1169
Pd3 0.1781 0.2500 0.8242
Pd4 0.2201 0.7500 0.7572
```

(3)
Pm2As7Pd12: theoretical powder XRD pattern (Cu Ka), based on a GGA-PBE-relaxed structure.
Lines closer than 0.1° are merged.

Principal peaks in the range 2θ = 10–80°, sorted by position:
d_spacing  two_theta  I (rel.)
2.585  34.70  100
2.386  37.71  11
2.188  41.27  7
2.094  43.19  17
2.073  43.67  20
2.007  45.17  11
1.910  47.62  23
1.536  60.25  7
1.404  66.59  13
1.275  74.40  10

Atomic structure:
```
data_Pm2As7Pd12
_cell_length_a 10.1042
_cell_length_b 10.1042
_cell_length_c 4.1456
_cell_angle_alpha 90.00
_cell_angle_beta 90.00
_cell_angle_gamma 120.00
_space_group_name_H-M_alt 'P -3'
_space_group_IT_number 147
_space_group_name_Hall '-P 3'
loop_
_atom_site_label
_atom_site_fract_x
_atom_site_fract_y
_atom_site_fract_z
Pm1 0.3333 0.6667 0.2482
As1 0.0000 0.0000 0.5000
As2 0.1170 0.4102 0.7452
Pd1 0.0588 0.6214 0.7464
Pd2 0.1114 0.8580 0.2283
```

(4)
Pm2As4Pd3: theoretical powder XRD pattern (Cu Ka), based on a GGA-PBE-relaxed structure.
Lines closer than 0.1° are merged.

Principal peaks in the range 2θ = 10–80°, sorted by position:
d_spacing  two_theta  I (rel.)
2.738  32.70  23
2.724  32.88  17
2.596  34.56  48
2.559  35.07  86
2.457  36.57  52
2.416  37.22  36
2.352  38.26  100
2.334  38.57  24
1.618  56.93  21
1.547  59.79  27

Atomic structure:
```
data_Pm2As4Pd3
_cell_length_a 5.9045
_cell_length_b 15.2474
_cell_length_c 7.7873
_cell_angle_alpha 90.00
_cell_angle_beta 90.00
_cell_angle_gamma 90.00
_space_group_name_H-M_alt 'C m c e'
_space_group_IT_number 64
_space_group_name_Hall '-C 2ac 2'
loop_
_atom_site_label
_atom_site_fract_x
_atom_site_fract_y
_atom_site_fract_z
Pm1 0.0000 0.1165 0.0774
As1 0.0000 0.1837 0.4589
As2 0.2500 0.0484 0.7500
Pd1 0.0000 0.0000 0.5000
Pd2 0.2500 0.2178 0.7500
```